Computed PXRD pattern
Compound: Rb2TcPbI6
Radiation: λ = 1.5418 Å (Cu Kα)
Structure: a PBE-relaxed structure
Lines closer than 0.1° are merged.

Structure:
Cell lengths 8.6745, 8.6745, 8.6745 Å; angles 120.16, 120.16, 89.72 degrees
Positions (direct):
Rb 0.2500 0.7500 0.5000
Rb 0.7500 0.2500 0.5000
Tc 0.0000 0.0000 0.0000
Pb 0.5000 0.5000 0.0000
I 0.2384 0.2384 0.4768
I 0.2384 0.7616 0.0000
I 0.2394 0.2394 0.0000
I 0.7606 0.7606 0.0000
I 0.7616 0.2384 0.0000
I 0.7616 0.7616 0.5232

Peak list (10 most intense, 2θ from 5° to 70°, by intensity)
| 2θ/deg | Rel. int. |
| --- | --- |
| 29.2 | 1000 |
| 14.5 | 785 |
| 25.2 | 746 |
| 41.6 | 745 |
| 29.0 | 508 |
| 51.7 | 388 |
| 41.8 | 369 |
| 68.6 | 320 |
| 32.6 | 281 |
| 20.5 | 255 |

Computed PXRD pattern
Compound: RbTlPbI4
Radiation: λ = 1.5418 Å (Cu Kα)
Structure: a PBE-relaxed structure
Lines closer than 0.1° are merged.

Structure:
Cell lengths 10.0868, 10.0868, 10.0868 Å; angles 143.34, 143.34, 52.81 degrees
Positions (direct):
Rb 0.0000 0.0000 0.0000
Tl 0.7303 0.7303 0.0000
Pb 0.3684 0.3684 0.0000
I 0.1966 0.1966 0.0000
I 0.3697 0.8697 0.5000
I 0.5522 0.5522 0.0000
I 0.8697 0.3697 0.5000

Peak list (10 most intense, 2θ from 5° to 70°, by intensity)
| 2θ/deg | Rel. int. |
| --- | --- |
| 28.1 | 1000 |
| 19.8 | 566 |
| 28.4 | 531 |
| 41.3 | 472 |
| 9.8 | 448 |
| 40.4 | 416 |
| 40.2 | 384 |
| 28.0 | 301 |
| 29.7 | 290 |
| 22.1 | 279 |